[1]
Diffraction record for DyAlSi. The PXRD pattern is calculated, not measured: it uses a structure optimized by DFT (GGA-PBE) and a wavelength of 1.5418 Å.
No peak broadening, texture or thermal motion is included.

Structural model:
Cell lengths 4.095, 4.095, 14.496 Å; angles 90.00, 90.00, 90.00 degrees
Space group I4_1md (No. 109)
Inequivalent atoms, fractional coordinates:
1 Dy 0.000 0.000 0.000 x4
2 Al 0.000 0.000 0.584 x4
3 Si 0.000 0.000 0.419 x4

Top 10 peaks for 10 to 80 degrees two-theta, in order of rising 2θ:
22.6 deg, intensity 45; 24.6 deg, intensity 27; 28.6 deg, intensity 53; 33.3 deg, intensity 100; 38.0 deg, intensity 42; 44.2 deg, intensity 30; 49.3 deg, intensity 20; 53.5 deg, intensity 19; 59.7 deg, intensity 22; 74.4 deg, intensity 20

=====

[2]
Diffraction record for DyAlSi. The PXRD pattern is calculated, not measured: it uses a structure optimized by DFT (GGA-PBE) and a wavelength of 1.5418 Å.
No peak broadening, texture or thermal motion is included.

Structural model:
Cell lengths 4.018, 10.276, 5.686 Å; angles 90.00, 90.00, 90.00 degrees
Space group Cmcm (No. 63)
Inequivalent atoms, fractional coordinates:
1 Dy 0.000 0.194 0.250 x4
2 Al 0.000 0.500 0.000 x4
3 Si 0.000 0.100 0.750 x4

Top 10 peaks for 10 to 80 degrees two-theta, in order of rising 2θ:
17.3 deg, intensity 33; 23.3 deg, intensity 26; 28.6 deg, intensity 100; 31.5 deg, intensity 29; 34.4 deg, intensity 53; 36.1 deg, intensity 30; 38.0 deg, intensity 30; 38.5 deg, intensity 39; 39.8 deg, intensity 25; 60.7 deg, intensity 31

=====

[3]
Diffraction record for DyUAl4. The PXRD pattern is calculated, not measured: it uses a structure optimized by DFT (GGA-PBE) and a wavelength of 1.5418 Å.
No peak broadening, texture or thermal motion is included.

Structural model:
Cell lengths 7.839, 7.839, 7.839 Å; angles 90.00, 90.00, 90.00 degrees
Space group F-43m (No. 216)
Inequivalent atoms, fractional coordinates:
1 Dy 0.000 0.000 0.000 x4
2 U 0.250 0.250 0.750 x4
3 Al 0.124 0.124 0.376 x16

Top 10 peaks for 10 to 80 degrees two-theta, in order of rising 2θ:
19.6 deg, intensity 73; 32.3 deg, intensity 100; 38.1 deg, intensity 94; 46.3 deg, intensity 10; 50.8 deg, intensity 20; 57.6 deg, intensity 40; 61.5 deg, intensity 32; 67.6 deg, intensity 20; 71.2 deg, intensity 15; 76.9 deg, intensity 18

=====

[4]
Diffraction record for DyYAl2. The PXRD pattern is calculated, not measured: it uses a structure optimized by DFT (GGA-PBE) and a wavelength of 1.5418 Å.
No peak broadening, texture or thermal motion is included.

Structural model:
Cell lengths 7.202, 7.202, 7.202 Å; angles 90.00, 90.00, 90.00 degrees
Space group Fm-3m (No. 225)
Inequivalent atoms, fractional coordinates:
1 Dy 0.000 0.000 0.000 x4
2 Y 0.000 0.000 0.500 x4
3 Al 0.250 0.250 0.250 x8

Top 10 peaks for 10 to 80 degrees two-theta, in order of rising 2θ:
21.4 deg, intensity 12; 24.7 deg, intensity 52; 35.2 deg, intensity 100; 41.6 deg, intensity 7; 43.5 deg, intensity 15; 50.7 deg, intensity 18; 57.2 deg, intensity 21; 63.3 deg, intensity 36; 74.5 deg, intensity 11; 79.9 deg, intensity 10

=====

[5]
Diffraction record for ErAl2. The PXRD pattern is calculated, not measured: it uses a structure optimized by DFT (GGA-PBE) and a wavelength of 1.5418 Å.
No peak broadening, texture or thermal motion is included.

Structural model:
Cell lengths 7.822, 7.822, 7.822 Å; angles 90.00, 90.00, 90.00 degrees
Space group Fd-3m (No. 227, origin choice 2)
Inequivalent atoms, fractional coordinates:
1 Er 0.125 0.125 0.125 x8
2 Al 0.000 0.000 0.500 x16

Top 10 peaks for 10 to 80 degrees two-theta, in order of rising 2θ:
19.7 deg, intensity 65; 32.4 deg, intensity 100; 38.2 deg, intensity 97; 46.4 deg, intensity 9; 50.9 deg, intensity 17; 57.7 deg, intensity 39; 61.6 deg, intensity 32; 67.8 deg, intensity 21; 71.3 deg, intensity 12; 77.1 deg, intensity 17